This entry pairs a crystal structure of B2PbWO with its calculated X-ray powder pattern. Radiation: CuKα. Structure: a cell relaxed with GGA+U.
No peak broadening, texture or thermal motion is included.

Most intense lines, 2θ = 10–90°, by angle:
d (Å)	2θ (°)	I (rel.)
3.125	28.6	64
2.948	30.3	100
2.210	40.8	29
1.979	45.9	10
1.768	51.7	47
1.672	54.9	21
1.474	63.1	16
1.398	67.0	12
1.381	67.9	11
1.171	82.4	13
1.142	85.0	13
1.097	89.3	11

Unit cell a=4.419 b=4.419 c=3.957 alpha=90.00 beta=90.00 gamma=90.00
Space group P4/mmm (No. 123)
One atom of each set of equivalent atoms:
B  0.000  0.500  0.000 (multiplicity 2)
Pb  0.000  0.000  0.500 (multiplicity 1)
W  0.500  0.500  0.000 (multiplicity 1)
O  0.500  0.500  0.500 (multiplicity 1)